Structure and computed powder diffraction line list of Li2P5WO15 (a PBE+U-relaxed structure; Cu Kα X-rays).
Neutral-atom scattering factors, no anomalous dispersion.

Peak list (10 most intense, 5 to 70 degrees two-theta, by angle)
- 10.1°, d 8.750, intensity 100.0, (0 0 1)
- 12.5°, d 7.104, intensity 44.4, (0 2 0)
- 16.1°, d 5.515, intensity 90.8, (0 2 1)
- 16.9°, d 5.232, intensity 31.7, (1 0 0)
- 20.3°, d 4.375, intensity 57.3, (0 0 2)
- 21.1°, d 4.213, intensity 57.8, (1 2 0)
- 21.8°, d 4.082, intensity 46.2, (1 2 -1)
- 25.0°, d 3.562, intensity 58.8, (1 2 1)
- 30.4°, d 2.939, intensity 31.7, (1 4 0)
- 30.9°, d 2.893, intensity 27.8, (1 4 -1)

Structural model:
Cell: 5.3568 14.2077 8.9589 Å, 90.00 102.40 90.00°
Fractional coordinates of all 46 atoms:
Li1 0.1581 0.1490 0.0942
Li2 0.1581 0.3510 0.0942
Li3 0.8419 0.6490 0.9058
Li4 0.8419 0.8510 0.9058
P1 0.0133 0.1449 0.5227
P2 0.0133 0.3551 0.5227
P3 0.3563 0.0873 0.8207
P4 0.3563 0.4127 0.8207
P5 0.3807 0.7500 0.0060
P6 0.6193 0.2500 0.9940
P7 0.6437 0.5873 0.1793
P8 0.6437 0.9127 0.1793
P9 0.9867 0.6449 0.4773
P10 0.9867 0.8551 0.4773
W1 0.5000 0.0000 0.5000
W2 0.5000 0.5000 0.5000
O1 0.0407 0.2500 0.4638
O2 0.1051 0.7500 0.9236
O3 0.1559 0.0836 0.4310
O4 0.1559 0.4164 0.4310
O5 0.1578 0.1513 0.6973
O6 0.1578 0.3487 0.6973
O7 0.2285 0.0612 0.9461
O8 0.2285 0.4388 0.9461
O9 0.2650 0.6247 0.4877
O10 0.2650 0.8753 0.4877
O11 0.4131 0.2500 0.0842
O12 0.4145 0.6619 0.1234
O13 0.4145 0.8381 0.1234
O14 0.4631 0.0118 0.7340
O15 0.4631 0.4882 0.7340
O16 0.5369 0.5118 0.2660
O17 0.5369 0.9882 0.2660
O18 0.5855 0.1619 0.8766
O19 0.5855 0.3381 0.8766
O20 0.5869 0.7500 0.9158
O21 0.7350 0.1247 0.5123
O22 0.7350 0.3753 0.5123
O23 0.7715 0.5612 0.0539
O24 0.7715 0.9388 0.0539
O25 0.8422 0.6513 0.3027
O26 0.8422 0.8487 0.3027
O27 0.8441 0.5836 0.5690
O28 0.8441 0.9164 0.5690
O29 0.8949 0.2500 0.0764
O30 0.9593 0.7500 0.5362